NbInPd6: calculated powder diffractogram (λ = 1.5418 Å (Cu Kα)), based on DFT lattice parameters and positions (PBE).

Atomic structure:
Lattice parameters (Å, degrees): 3.988 3.988 8.008 90.00 90.00 90.00
Fractional positions:
Nb1 0.000 0.000 0.000
In1 0.000 0.000 0.500
Pd1 0.000 0.500 0.239
Pd2 0.000 0.500 0.761
Pd3 0.500 0.000 0.239
Pd4 0.500 0.000 0.761
Pd5 0.500 0.500 0.000
Pd6 0.500 0.500 0.500

Peak list (10 most intense, 2θ = 10–90°, by angle)
two_theta, d_spacing, intensity, hkl
33.6, 2.669, 6, 0 0 3
39.1, 2.305, 1000, 1 1 2
45.3, 2.002, 158, 0 0 4
45.5, 1.994, 325, 2 0 0
66.1, 1.413, 199, 2 0 4
66.3, 1.410, 103, 2 2 0
67.2, 1.393, 7, 1 1 5
79.4, 1.206, 112, 1 1 6
79.7, 1.203, 239, 3 1 2
83.9, 1.153, 102, 2 2 4